Starting from the PBE geometry in Alexandria, the X-ray diffraction stick pattern of Ca4Mg2Cu was computed for copper Kα.
Intensities are scaled so that the largest is 100.

Most intense lines, 10° ≤ 2θ ≤ 90°, in order of rising 2θ:
- d = 4.426 Å, 2θ 20.06, I = 33
- d = 2.834 Å, 2θ 31.57, I = 100
- d = 2.806 Å, 2θ 31.89, I = 28
- d = 2.578 Å, 2θ 34.80, I = 22
- d = 2.300 Å, 2θ 39.17, I = 34
- d = 2.275 Å, 2θ 39.61, I = 31
- d = 1.695 Å, 2θ 54.11, I = 20
- d = 1.675 Å, 2θ 54.80, I = 19

Structural model:
a b c (Å): 10.313 10.313 10.313
angles (deg): 139.17 139.17 59.12
Sites, in units of the cell vectors:
Ca (0.017, 0.517, 0.851)
Ca (0.166, 0.017, 0.500)
Ca (0.334, 0.834, 0.851)
Ca (0.483, 0.334, 0.500)
Ca (0.517, 0.666, 0.500)
Ca (0.666, 0.166, 0.149)
Ca (0.834, 0.983, 0.500)
Ca (0.983, 0.483, 0.149)
Mg (0.147, 0.353, 0.500)
Mg (0.353, 0.853, 0.205)
Mg (0.647, 0.147, 0.795)
Mg (0.853, 0.647, 0.500)
Cu (0.250, 0.250, 0.000)
Cu (0.750, 0.750, 0.000)

=====

Starting from the PBE geometry in Alexandria, the X-ray diffraction stick pattern of Ca2Pm5Pb4 was computed for copper Kα.
Intensities are scaled so that the largest is 100.

Most intense lines, 10° ≤ 2θ ≤ 90°, in order of rising 2θ:
- d = 4.958 Å, 2θ 17.89, I = 20
- d = 3.688 Å, 2θ 24.13, I = 49
- d = 2.884 Å, 2θ 31.01, I = 100
- d = 2.714 Å, 2θ 33.00, I = 82
- d = 2.589 Å, 2θ 34.64, I = 33
- d = 2.159 Å, 2θ 41.83, I = 29
- d = 2.083 Å, 2θ 43.45, I = 24
- d = 1.690 Å, 2θ 54.29, I = 19

Structural model:
a b c (Å): 11.149 11.149 8.249
angles (deg): 101.76 101.76 22.34
Sites, in units of the cell vectors:
Ca (0.069, 0.069, 0.125)
Ca (0.931, 0.931, 0.875)
Pm (0.000, 0.000, 0.500)
Pm (0.321, 0.321, 0.044)
Pm (0.348, 0.348, 0.519)
Pm (0.652, 0.652, 0.481)
Pm (0.679, 0.679, 0.956)
Pb (0.215, 0.215, 0.262)
Pb (0.463, 0.463, 0.211)
Pb (0.537, 0.537, 0.789)
Pb (0.785, 0.785, 0.738)

=====

Starting from the PBE geometry in Alexandria, the X-ray diffraction stick pattern of SrNb was computed for copper Kα.
Intensities are scaled so that the largest is 100.

Most intense lines, 10° ≤ 2θ ≤ 90°, in order of rising 2θ:
- d = 7.995 Å, 2θ 11.07, I = 85
- d = 3.214 Å, 2θ 27.76, I = 77
- d = 2.936 Å, 2θ 30.45, I = 100
- d = 2.809 Å, 2θ 31.86, I = 60
- d = 2.638 Å, 2θ 33.99, I = 95
- d = 2.583 Å, 2θ 34.74, I = 52
- d = 1.939 Å, 2θ 46.85, I = 46
- d = 1.737 Å, 2θ 52.70, I = 48

Structural model:
a b c (Å): 4.379 5.871 15.991
angles (deg): 90.00 90.00 90.00
Sites, in units of the cell vectors:
Sr (0.000, 0.000, 0.000)
Sr (0.000, 0.500, 0.316)
Sr (0.000, 0.500, 0.684)
Sr (0.500, 0.000, 0.184)
Sr (0.500, 0.000, 0.816)
Sr (0.500, 0.500, 0.500)
Nb (0.000, 0.000, 0.500)
Nb (0.000, 0.500, 0.087)
Nb (0.000, 0.500, 0.913)
Nb (0.500, 0.000, 0.413)
Nb (0.500, 0.000, 0.587)
Nb (0.500, 0.500, 0.000)

=====

Starting from the PBE geometry in Alexandria, the X-ray diffraction stick pattern of Tb7Er3Sc2 was computed for copper Kα.
Intensities are scaled so that the largest is 100.

Most intense lines, 10° ≤ 2θ ≤ 90°, in order of rising 2θ:
- d = 3.044 Å, 2θ 29.34, I = 39
- d = 2.849 Å, 2θ 31.40, I = 51
- d = 2.817 Å, 2θ 31.76, I = 100
- d = 2.787 Å, 2θ 32.12, I = 30
- d = 2.761 Å, 2θ 32.43, I = 27
- d = 2.724 Å, 2θ 32.88, I = 40
- d = 2.616 Å, 2θ 34.28, I = 25
- d = 2.354 Å, 2θ 38.24, I = 25

Structural model:
a b c (Å): 5.717 3.518 18.301
angles (deg): 90.00 93.70 90.00
Sites, in units of the cell vectors:
Tb (0.000, 0.000, 0.000)
Tb (0.186, 0.500, 0.185)
Tb (0.258, 0.500, 0.538)
Tb (0.316, 0.000, 0.852)
Tb (0.684, 0.000, 0.148)
Tb (0.742, 0.500, 0.462)
Tb (0.814, 0.500, 0.815)
Er (0.221, 0.000, 0.366)
Er (0.500, 0.500, 0.000)
Er (0.779, 0.000, 0.634)
Sc (0.289, 0.500, 0.703)
Sc (0.711, 0.500, 0.297)

=====

Starting from the PBE geometry in Alexandria, the X-ray diffraction stick pattern of Zr4Hg2C was computed for copper Kα.
Intensities are scaled so that the largest is 100.

Most intense lines, 10° ≤ 2θ ≤ 90°, in order of rising 2θ:
- d = 3.360 Å, 2θ 26.53, I = 53
- d = 2.976 Å, 2θ 30.03, I = 31
- d = 2.701 Å, 2θ 33.17, I = 26
- d = 2.629 Å, 2θ 34.10, I = 25
- d = 2.550 Å, 2θ 35.19, I = 32
- d = 2.488 Å, 2θ 36.10, I = 62
- d = 2.374 Å, 2θ 37.90, I = 100
- d = 1.679 Å, 2θ 54.65, I = 24

Structural model:
a b c (Å): 7.855 11.161 3.358
angles (deg): 90.00 90.00 90.00
Sites, in units of the cell vectors:
Zr (0.131, 0.181, 0.000)
Zr (0.177, 0.937, 0.500)
Zr (0.323, 0.437, 0.500)
Zr (0.369, 0.681, 0.000)
Zr (0.631, 0.319, 0.000)
Zr (0.677, 0.563, 0.500)
Zr (0.823, 0.063, 0.500)
Zr (0.869, 0.819, 0.000)
Hg (0.054, 0.638, 0.500)
Hg (0.446, 0.138, 0.500)
Hg (0.554, 0.862, 0.500)
Hg (0.946, 0.362, 0.500)
C (0.000, 0.000, 0.000)
C (0.500, 0.500, 0.000)

=====

Starting from the PBE geometry in Alexandria, the X-ray diffraction stick pattern of TlAg3F9 was computed for copper Kα.
Intensities are scaled so that the largest is 100.

Most intense lines, 10° ≤ 2θ ≤ 90°, in order of rising 2θ:
- d = 3.715 Å, 2θ 23.95, I = 94
- d = 3.647 Å, 2θ 24.41, I = 43
- d = 3.462 Å, 2θ 25.73, I = 54
- d = 3.243 Å, 2θ 27.50, I = 68
- d = 3.099 Å, 2θ 28.81, I = 98
- d = 3.022 Å, 2θ 29.56, I = 100
- d = 2.817 Å, 2θ 31.77, I = 49
- d = 1.651 Å, 2θ 55.68, I = 32

Structural model:
a b c (Å): 5.648 7.932 9.305
angles (deg): 90.00 94.11 90.00
Sites, in units of the cell vectors:
Tl (0.010, 0.250, 0.424)
Tl (0.990, 0.750, 0.576)
Ag (0.000, 0.000, 0.000)
Ag (0.000, 0.500, 0.000)
Ag (0.477, 0.015, 0.685)
Ag (0.477, 0.485, 0.685)
Ag (0.523, 0.515, 0.315)
Ag (0.523, 0.985, 0.315)
F (0.111, 0.250, 0.976)
F (0.138, 0.580, 0.753)
F (0.138, 0.920, 0.753)
F (0.223, 0.567, 0.460)
F (0.223, 0.933, 0.460)
F (0.267, 0.250, 0.619)
F (0.305, 0.550, 0.112)
F (0.305, 0.950, 0.112)
F (0.355, 0.250, 0.321)
F (0.645, 0.750, 0.679)
F (0.695, 0.050, 0.888)
F (0.695, 0.450, 0.888)
F (0.733, 0.750, 0.381)
F (0.777, 0.067, 0.540)
F (0.777, 0.433, 0.540)
F (0.862, 0.080, 0.247)
F (0.862, 0.420, 0.247)
F (0.889, 0.750, 0.024)

=====

Please write out number 1 again, unchanged.
Starting from the PBE geometry in Alexandria, the X-ray diffraction stick pattern of Ca4Mg2Cu was computed for copper Kα.
Intensities are scaled so that the largest is 100.

Most intense lines, 10° ≤ 2θ ≤ 90°, in order of rising 2θ:
- d = 4.426 Å, 2θ 20.06, I = 33
- d = 2.834 Å, 2θ 31.57, I = 100
- d = 2.806 Å, 2θ 31.89, I = 28
- d = 2.578 Å, 2θ 34.80, I = 22
- d = 2.300 Å, 2θ 39.17, I = 34
- d = 2.275 Å, 2θ 39.61, I = 31
- d = 1.695 Å, 2θ 54.11, I = 20
- d = 1.675 Å, 2θ 54.80, I = 19

Structural model:
a b c (Å): 10.313 10.313 10.313
angles (deg): 139.17 139.17 59.12
Sites, in units of the cell vectors:
Ca (0.017, 0.517, 0.851)
Ca (0.166, 0.017, 0.500)
Ca (0.334, 0.834, 0.851)
Ca (0.483, 0.334, 0.500)
Ca (0.517, 0.666, 0.500)
Ca (0.666, 0.166, 0.149)
Ca (0.834, 0.983, 0.500)
Ca (0.983, 0.483, 0.149)
Mg (0.147, 0.353, 0.500)
Mg (0.353, 0.853, 0.205)
Mg (0.647, 0.147, 0.795)
Mg (0.853, 0.647, 0.500)
Cu (0.250, 0.250, 0.000)
Cu (0.750, 0.750, 0.000)